[1]
Theoretical powder diffraction line list of K2Sr2F7 for CuKα, from a crystal structure in Alexandria, relaxed with PBE.
Kinematic intensities with the Lorentz-polarization factor, no thermal factor.

Crystal structure
```
K2Sr2F7
1.0
4.1647 0.0000 0.0000
0.0000 4.1647 0.0000
0.0000 0.0000 12.4003
K Sr F
2 2 7
Direct
0.0000 0.5000 0.1344 K
0.5000 0.0000 0.8656 K
0.0000 0.5000 0.6185 Sr
0.5000 0.0000 0.3815 Sr
0.0000 0.0000 0.2637 F
0.0000 0.0000 0.5000 F
0.0000 0.0000 0.7363 F
0.5000 0.5000 0.0000 F
0.5000 0.5000 0.2682 F
0.5000 0.5000 0.5000 F
0.5000 0.5000 0.7318 F
```

Peak list (10 most intense, 2θ from 15° to 90°, by angle)
22.5 deg, I = 7
25.8 deg, I = 100
30.5 deg, I = 9
42.3 deg, I = 55
43.5 deg, I = 27
49.2 deg, I = 15
51.2 deg, I = 28
63.1 deg, I = 8
67.7 deg, I = 11
79.0 deg, I = 14

---

[2]
Theoretical powder diffraction line list of K2TaF for CuKα, from a crystal structure in Alexandria, relaxed with PBE.
Kinematic intensities with the Lorentz-polarization factor, no thermal factor.

Crystal structure
```
K2TaF
1.0
-3.9104 3.9104 4.6669
3.9104 -3.9104 4.6669
3.9104 3.9104 -4.6669
K Ta F
4 2 2
Direct
0.9999 0.6250 0.8749 K
0.3750 0.2499 0.3749 K
0.7501 0.1250 0.1251 K
0.8750 0.0001 0.6251 K
0.2500 0.7500 0.5000 Ta
0.5000 0.5000 0.0000 Ta
0.0000 0.0000 0.0000 F
0.7500 0.2500 0.5000 F
```

Peak list (10 most intense, 2θ from 15° to 90°, by angle)
22.7 deg, I = 36
25.0 deg, I = 100
27.2 deg, I = 81
30.9 deg, I = 27
32.4 deg, I = 23
35.8 deg, I = 18
41.3 deg, I = 48
45.3 deg, I = 26
52.3 deg, I = 17
61.9 deg, I = 15

---

[3]
Theoretical powder diffraction line list of K3TbF8 for CuKα, from a crystal structure in Alexandria, relaxed with PBE.
Kinematic intensities with the Lorentz-polarization factor, no thermal factor.

Crystal structure
```
K3TbF8
1.0
-3.0154 3.0154 6.1227
3.0154 -3.0154 6.1227
3.0154 3.0154 -6.1227
K Tb F
3 1 8
Direct
0.0000 0.0000 0.0000 K
0.2500 0.7500 0.5000 K
0.7500 0.2500 0.5000 K
0.5000 0.5000 0.0000 Tb
0.1717 0.1717 0.5638 F
0.1717 0.6079 0.0000 F
0.3921 0.3921 0.5638 F
0.3921 0.8283 0.0000 F
0.6079 0.1717 0.0000 F
0.6079 0.6079 0.4362 F
0.8283 0.3921 0.0000 F
0.8283 0.8283 0.4362 F
```

Peak list (10 most intense, 2θ from 15° to 90°, by angle)
16.4 deg, I = 68
20.8 deg, I = 15
25.5 deg, I = 100
40.1 deg, I = 13
42.1 deg, I = 53
42.4 deg, I = 26
49.5 deg, I = 15
50.1 deg, I = 28
67.2 deg, I = 12
77.3 deg, I = 12